# CdRhWO6
Computed X-ray powder pattern, Cu Ka. Input: a structure optimized by DFT (GGA+U).
Lines closer than 0.1° are merged.

Cell: 4.834 4.834 9.504 Å, 90.00 90.00 90.00°
Fractional positions:
Cd1 0.000 0.000 0.000
Cd2 0.500 0.500 0.500
Rh1 0.000 0.000 0.330
Rh2 0.500 0.500 0.830
W1 0.000 0.000 0.669
W2 0.500 0.500 0.169
O1 0.175 0.175 0.503
O2 0.210 0.210 0.808
O3 0.215 0.215 0.181
O4 0.285 0.715 0.681
O5 0.290 0.710 0.308
O6 0.325 0.675 0.003
O7 0.675 0.325 0.003
O8 0.710 0.290 0.308
O9 0.715 0.285 0.681
O10 0.785 0.785 0.181
O11 0.790 0.790 0.808
O12 0.825 0.825 0.503

The 12 most intense peaks (15° ≤ 2θ ≤ 90°), low angle first:
Position (°2θ)	intensity
20.61	11
26.07	100
33.83	82
37.20	24
51.15	65
53.62	16
60.57	16
64.90	33
71.17	8
77.27	14
83.15	8
89.01	24